1.
This entry pairs a crystal structure of TbY5Sc2 with its simulated PXRD pattern. Radiation: a wavelength of 1.5418 Å. Structure: a crystal structure in Alexandria, relaxed with GGA-PBE.
Kinematic intensities with the Lorentz-polarization factor, no thermal factor.

Crystal structure
```
data_TbY5Sc2
_chemical_formula_sum 'Tb1 Y5 Sc2'
_cell_length_a 8.293
_cell_length_b 7.133
_cell_length_c 6.592
_cell_angle_alpha 74.23
_cell_angle_beta 55.86
_cell_angle_gamma 49.91
_space_group_name_H-M_alt 'P 1'
_space_group_IT_number 1
_space_group_name_Hall 'P 1'
loop_
_atom_site_label
_atom_site_type_symbol
_atom_site_fract_x
_atom_site_fract_y
_atom_site_fract_z
_atom_site_occupancy
Tb1 Tb 0.000 0.000 0.000 1
Y1 Y 0.004 0.504 0.996 1
Y2 Y 0.084 0.084 0.416 1
Y3 Y 0.500 0.500 0.500 1
Y4 Y 0.504 0.004 0.496 1
Y5 Y 0.584 0.584 0.916 1
Sc1 Sc 0.086 0.587 0.413 1
Sc2 Sc 0.587 0.086 0.914 1
```

The 8 most intense peaks (5 to 70 degrees two-theta), low angle first:
2θ 28.89, intensity 27.4
2θ 32.32, intensity 23.5
2θ 33.19, intensity 100.0
2θ 43.89, intensity 17.1
2θ 51.23, intensity 12.3
2θ 58.20, intensity 19.1
2θ 61.89, intensity 13.7
2θ 62.33, intensity 10.2


2.
This entry pairs a crystal structure of Tb2Y8Sc with its simulated PXRD pattern. Radiation: a wavelength of 1.5418 Å. Structure: a crystal structure in Alexandria, relaxed with GGA-PBE.
Kinematic intensities with the Lorentz-polarization factor, no thermal factor.

Crystal structure
```
data_Tb2Y8Sc
_chemical_formula_sum 'Tb2 Y8 Sc1'
_cell_length_a 9.128
_cell_length_b 9.128
_cell_length_c 5.836
_cell_angle_alpha 104.89
_cell_angle_beta 104.89
_cell_angle_gamma 121.50
_space_group_name_H-M_alt 'P 1'
_space_group_IT_number 1
_space_group_name_Hall 'P 1'
loop_
_atom_site_label
_atom_site_type_symbol
_atom_site_fract_x
_atom_site_fract_y
_atom_site_fract_z
_atom_site_occupancy
Tb1 Tb 0.194 0.806 0.000 1
Tb2 Tb 0.806 0.194 0.000 1
Y1 Y 0.087 0.087 0.299 1
Y2 Y 0.171 0.400 0.835 1
Y3 Y 0.296 0.704 0.500 1
Y4 Y 0.400 0.171 0.835 1
Y5 Y 0.600 0.829 0.165 1
Y6 Y 0.704 0.296 0.500 1
Y7 Y 0.829 0.600 0.165 1
Y8 Y 0.913 0.913 0.701 1
Sc1 Sc 0.500 0.500 0.500 1
```

The 8 most intense peaks (5 to 70 degrees two-theta), low angle first:
2θ 26.02, intensity 17.4
2θ 30.59, intensity 53.1
2θ 30.99, intensity 27.1
2θ 31.16, intensity 49.2
2θ 32.08, intensity 100.0
2θ 32.60, intensity 33.1
2θ 33.02, intensity 21.8
2θ 37.98, intensity 18.2


3.
This entry pairs a crystal structure of Tb11Y9Sc4 with its simulated PXRD pattern. Radiation: a wavelength of 1.5418 Å. Structure: a crystal structure in Alexandria, relaxed with GGA-PBE.
Kinematic intensities with the Lorentz-polarization factor, no thermal factor.

Crystal structure
```
data_Tb11Y9Sc4
_chemical_formula_sum 'Tb11 Y9 Sc4'
_cell_length_a 15.053
_cell_length_b 15.053
_cell_length_c 3.577
_cell_angle_alpha 90.00
_cell_angle_beta 90.00
_cell_angle_gamma 113.03
_space_group_name_H-M_alt 'P 1'
_space_group_IT_number 1
_space_group_name_Hall 'P 1'
loop_
_atom_site_label
_atom_site_type_symbol
_atom_site_fract_x
_atom_site_fract_y
_atom_site_fract_z
_atom_site_occupancy
Tb1 Tb 0.000 0.000 0.000 1
Tb2 Tb 0.047 0.407 0.000 1
Tb3 Tb 0.160 0.840 0.000 1
Tb4 Tb 0.298 0.298 0.000 1
Tb5 Tb 0.371 0.629 0.000 1
Tb6 Tb 0.407 0.047 0.000 1
Tb7 Tb 0.593 0.953 0.000 1
Tb8 Tb 0.629 0.371 0.000 1
Tb9 Tb 0.702 0.702 0.000 1
Tb10 Tb 0.840 0.160 0.000 1
Tb11 Tb 0.953 0.593 0.000 1
Y1 Y 0.073 0.218 0.500 1
Y2 Y 0.166 0.629 0.500 1
Y3 Y 0.218 0.073 0.500 1
Y4 Y 0.371 0.834 0.500 1
Y5 Y 0.500 0.500 0.500 1
Y6 Y 0.629 0.166 0.500 1
Y7 Y 0.782 0.927 0.500 1
Y8 Y 0.834 0.371 0.500 1
Y9 Y 0.927 0.782 0.500 1
Sc1 Sc 0.243 0.446 0.500 1
Sc2 Sc 0.446 0.243 0.500 1
Sc3 Sc 0.554 0.757 0.500 1
Sc4 Sc 0.757 0.554 0.500 1
```

The 8 most intense peaks (5 to 70 degrees two-theta), low angle first:
2θ 30.32, intensity 79.0
2θ 30.71, intensity 27.6
2θ 31.17, intensity 23.0
2θ 31.64, intensity 31.5
2θ 32.94, intensity 80.8
2θ 33.06, intensity 100.0
2θ 51.06, intensity 20.8
2θ 60.56, intensity 27.2


4.
This entry pairs a crystal structure of Tb2Y3Sc3 with its simulated PXRD pattern. Radiation: a wavelength of 1.5418 Å. Structure: a crystal structure in Alexandria, relaxed with GGA-PBE.
Kinematic intensities with the Lorentz-polarization factor, no thermal factor.

Crystal structure
```
data_Tb2Y3Sc3
_chemical_formula_sum 'Tb4 Y6 Sc6'
_cell_length_a 23.073
_cell_length_b 3.490
_cell_length_c 5.981
_cell_angle_alpha 90.00
_cell_angle_beta 104.76
_cell_angle_gamma 90.00
_space_group_name_H-M_alt 'P 1'
_space_group_IT_number 1
_space_group_name_Hall 'P 1'
loop_
_atom_site_label
_atom_site_type_symbol
_atom_site_fract_x
_atom_site_fract_y
_atom_site_fract_z
_atom_site_occupancy
Tb1 Tb 0.247 0.000 0.242 1
Tb2 Tb 0.253 0.500 0.758 1
Tb3 Tb 0.747 0.500 0.242 1
Tb4 Tb 0.753 0.000 0.758 1
Y1 Y 0.000 0.000 0.000 1
Y2 Y 0.123 0.000 0.465 1
Y3 Y 0.377 0.500 0.535 1
Y4 Y 0.500 0.500 0.000 1
Y5 Y 0.623 0.500 0.465 1
Y6 Y 0.877 0.000 0.535 1
Sc1 Sc 0.000 0.500 0.500 1
Sc2 Sc 0.123 0.500 0.958 1
Sc3 Sc 0.377 0.000 0.042 1
Sc4 Sc 0.500 0.000 0.500 1
Sc5 Sc 0.623 0.000 0.958 1
Sc6 Sc 0.877 0.500 0.042 1
```

The 8 most intense peaks (5 to 70 degrees two-theta), low angle first:
2θ 7.93, intensity 52.8
2θ 29.64, intensity 18.6
2θ 30.71, intensity 31.3
2θ 32.09, intensity 41.8
2θ 33.80, intensity 100.0
2θ 33.95, intensity 23.1
2θ 34.08, intensity 21.3
2θ 52.89, intensity 19.8


5.
This entry pairs a crystal structure of Tb2ScZn2 with its simulated PXRD pattern. Radiation: a wavelength of 1.5418 Å. Structure: a crystal structure in Alexandria, relaxed with GGA-PBE.
Kinematic intensities with the Lorentz-polarization factor, no thermal factor.

Crystal structure
```
data_Tb2ScZn2
_chemical_formula_sum 'Tb4 Sc2 Zn4'
_cell_length_a 4.608
_cell_length_b 6.370
_cell_length_c 8.076
_cell_angle_alpha 90.00
_cell_angle_beta 90.00
_cell_angle_gamma 90.00
_space_group_name_H-M_alt 'P 1'
_space_group_IT_number 1
_space_group_name_Hall 'P 1'
loop_
_atom_site_label
_atom_site_type_symbol
_atom_site_fract_x
_atom_site_fract_y
_atom_site_fract_z
_atom_site_occupancy
Tb1 Tb 0.000 0.000 0.202 1
Tb2 Tb 0.000 0.000 0.798 1
Tb3 Tb 0.500 0.500 0.298 1
Tb4 Tb 0.500 0.500 0.702 1
Sc1 Sc 0.000 0.500 0.000 1
Sc2 Sc 0.500 0.000 0.500 1
Zn1 Zn 0.000 0.291 0.500 1
Zn2 Zn 0.000 0.709 0.500 1
Zn3 Zn 0.500 0.209 0.000 1
Zn4 Zn 0.500 0.791 0.000 1
```

The 8 most intense peaks (5 to 70 degrees two-theta), low angle first:
2θ 23.83, intensity 51.3
2θ 32.67, intensity 100.0
2θ 35.91, intensity 38.4
2θ 36.04, intensity 45.5
2θ 38.74, intensity 32.4
2θ 39.10, intensity 33.2
2θ 54.13, intensity 23.7
2θ 68.21, intensity 23.0


6.
This entry pairs a crystal structure of Tb3ScZn2 with its simulated PXRD pattern. Radiation: a wavelength of 1.5418 Å. Structure: a crystal structure in Alexandria, relaxed with GGA-PBE.
Kinematic intensities with the Lorentz-polarization factor, no thermal factor.

Crystal structure
```
data_Tb3ScZn2
_chemical_formula_sum 'Tb6 Sc2 Zn4'
_cell_length_a 5.025
_cell_length_b 9.055
_cell_length_c 6.488
_cell_angle_alpha 90.00
_cell_angle_beta 90.00
_cell_angle_gamma 90.00
_space_group_name_H-M_alt 'P 1'
_space_group_IT_number 1
_space_group_name_Hall 'P 1'
loop_
_atom_site_label
_atom_site_type_symbol
_atom_site_fract_x
_atom_site_fract_y
_atom_site_fract_z
_atom_site_occupancy
Tb1 Tb 0.000 0.051 0.000 1
Tb2 Tb 0.000 0.337 0.332 1
Tb3 Tb 0.000 0.663 0.832 1
Tb4 Tb 0.000 0.949 0.500 1
Tb5 Tb 0.500 0.183 0.683 1
Tb6 Tb 0.500 0.817 0.183 1
Sc1 Sc 0.500 0.448 0.027 1
Sc2 Sc 0.500 0.552 0.527 1
Zn1 Zn 0.000 0.348 0.800 1
Zn2 Zn 0.000 0.652 0.300 1
Zn3 Zn 0.500 0.156 0.225 1
Zn4 Zn 0.500 0.844 0.725 1
```

The 8 most intense peaks (5 to 70 degrees two-theta), low angle first:
2θ 24.47, intensity 28.3
2θ 29.92, intensity 40.1
2θ 32.86, intensity 48.2
2θ 34.00, intensity 32.6
2θ 34.36, intensity 79.1
2θ 34.67, intensity 100.0
2θ 35.73, intensity 63.5
2θ 62.17, intensity 25.3


7.
This entry pairs a crystal structure of TbSc2Zn4 with its simulated PXRD pattern. Radiation: a wavelength of 1.5418 Å. Structure: a crystal structure in Alexandria, relaxed with GGA-PBE.
Kinematic intensities with the Lorentz-polarization factor, no thermal factor.

Crystal structure
```
data_TbSc2Zn4
_chemical_formula_sum 'Tb2 Sc4 Zn8'
_cell_length_a 4.859
_cell_length_b 4.859
_cell_length_c 12.852
_cell_angle_alpha 90.00
_cell_angle_beta 90.00
_cell_angle_gamma 90.00
_space_group_name_H-M_alt 'P 1'
_space_group_IT_number 1
_space_group_name_Hall 'P 1'
loop_
_atom_site_label
_atom_site_type_symbol
_atom_site_fract_x
_atom_site_fract_y
_atom_site_fract_z
_atom_site_occupancy
Tb1 Tb 0.000 0.000 0.000 1
Tb2 Tb 0.500 0.500 0.500 1
Sc1 Sc 0.000 0.000 0.260 1
Sc2 Sc 0.000 0.000 0.740 1
Sc3 Sc 0.500 0.500 0.240 1
Sc4 Sc 0.500 0.500 0.760 1
Zn1 Zn 0.000 0.500 0.127 1
Zn2 Zn 0.000 0.500 0.373 1
Zn3 Zn 0.000 0.500 0.627 1
Zn4 Zn 0.000 0.500 0.873 1
Zn5 Zn 0.500 0.000 0.127 1
Zn6 Zn 0.500 0.000 0.373 1
Zn7 Zn 0.500 0.000 0.627 1
Zn8 Zn 0.500 0.000 0.873 1
```

The 8 most intense peaks (5 to 70 degrees two-theta), low angle first:
2θ 19.53, intensity 45.4
2θ 27.76, intensity 25.9
2θ 37.00, intensity 56.0
2θ 38.36, intensity 100.0
2θ 42.18, intensity 13.3
2θ 46.88, intensity 12.5
2θ 53.33, intensity 23.9
2θ 67.58, intensity 35.1


8.
This entry pairs a crystal structure of Tb2ScZn2 with its simulated PXRD pattern. Radiation: a wavelength of 1.5418 Å. Structure: a crystal structure in Alexandria, relaxed with GGA-PBE.
Kinematic intensities with the Lorentz-polarization factor, no thermal factor.

Crystal structure
```
data_Tb2ScZn2
_chemical_formula_sum 'Tb4 Sc2 Zn4'
_cell_length_a 3.486
_cell_length_b 19.913
_cell_length_c 3.404
_cell_angle_alpha 90.00
_cell_angle_beta 90.00
_cell_angle_gamma 90.00
_space_group_name_H-M_alt 'P 1'
_space_group_IT_number 1
_space_group_name_Hall 'P 1'
loop_
_atom_site_label
_atom_site_type_symbol
_atom_site_fract_x
_atom_site_fract_y
_atom_site_fract_z
_atom_site_occupancy
Tb1 Tb 0.000 0.173 0.000 1
Tb2 Tb 0.000 0.827 0.000 1
Tb3 Tb 0.500 0.327 0.000 1
Tb4 Tb 0.500 0.673 0.000 1
Sc1 Sc 0.000 0.000 0.000 1
Sc2 Sc 0.500 0.500 0.000 1
Zn1 Zn 0.000 0.423 0.500 1
Zn2 Zn 0.000 0.577 0.500 1
Zn3 Zn 0.500 0.077 0.500 1
Zn4 Zn 0.500 0.923 0.500 1
```

The 8 most intense peaks (5 to 70 degrees two-theta), low angle first:
2θ 27.70, intensity 42.9
2θ 28.93, intensity 68.4
2θ 34.18, intensity 70.1
2θ 37.19, intensity 88.4
2θ 37.86, intensity 100.0
2θ 39.41, intensity 47.3
2θ 65.36, intensity 27.5
2θ 66.53, intensity 43.6